# 1
# Hg3HOs
Calculated powder XRD pattern, copper Kα. Input: DFT lattice parameters and positions (PBE).

Lattice parameters (Å, degrees): 4.332 4.332 4.332 90.00 90.00 90.00
Space group Pm-3m (No. 221)
Symmetry-distinct sites (fractional):
Hg  0.000  0.000  0.500 x3
H  0.000  0.000  0.000 x1
Os  0.500  0.500  0.500 x1

Largest 5 diffraction maxima, low angle first, 2θ = 10–80°:
hkl 1 1 1, 35.90°, rel. 100; hkl 2 0 0, 41.70°, rel. 50; hkl 2 2 0, 60.44°, rel. 34; hkl 3 1 1, 72.34°, rel. 40; hkl 2 2 2, 76.12°, rel. 12

=====

# 2
# HgP2H6
Calculated powder XRD pattern, copper Kα. Input: DFT lattice parameters and positions (PBE).

Lattice parameters (Å, degrees): 7.157 12.771 13.748 90.00 90.00 90.00
Space group Fdd2 (No. 43)
Symmetry-distinct sites (fractional):
Hg  0.000  0.000  0.000 x8
P  0.019  0.195  0.486 x16
H  0.064  0.203  0.587 x16
H  0.095  0.106  0.755 x16
H  0.118  0.098  0.475 x16

Largest 8 diffraction maxima, low angle first, 2θ = 10–80°:
hkl 1 1 1, 15.59°, rel. 100; hkl 0 2 2, 18.97°, rel. 47; hkl 1 1 3, 24.09°, rel. 38; hkl 1 3 1, 25.19°, rel. 76; hkl 0 0 4, 25.92°, rel. 37; hkl 2 0 2, 28.11°, rel. 59; hkl 1 3 3, 31.28°, rel. 43; hkl 2 2 4, 38.97°, rel. 32

=====

# 3
# Hg8H2Pb3
Calculated powder XRD pattern, copper Kα. Input: DFT lattice parameters and positions (PBE).

Lattice parameters (Å, degrees): 3.347 9.158 10.585 82.98 85.61 88.10
Space group P-1 (No. 2)
Symmetry-distinct sites (fractional):
Hg  0.010  0.285  0.335 x2
Hg  0.194  0.803  0.908 x2
Hg  0.281  0.914  0.234 x2
Hg  0.309  0.445  0.884 x2
H  0.228  0.875  0.066 x2
Pb  0.272  0.367  0.605 x2
Pb  0.500  0.000  0.500 x1

Largest 8 diffraction maxima, low angle first, 2θ = 10–80°:
hkl 0 2 3, 30.35°, rel. 86; hkl 1 1 -1, 30.47°, rel. 92; hkl 0 3 -1, 31.72°, rel. 100; hkl 1 -2 0, 33.71°, rel. 75; hkl 1 0 3, 35.84°, rel. 66; hkl 0 1 -4, 36.84°, rel. 57; hkl 1 3 2, 41.07°, rel. 43; hkl 0 5 2, 51.19°, rel. 20

=====

# 4
# Hg4H3Pb4
Calculated powder XRD pattern, copper Kα. Input: DFT lattice parameters and positions (PBE).

Lattice parameters (Å, degrees): 9.080 3.402 16.671 90.00 90.00 90.00
Space group Amm2 (No. 38)
Symmetry-distinct sites (fractional):
Hg  0.000  0.000  0.000 x2
Hg  0.206  0.000  0.378 x4
Hg  0.500  0.000  0.933 x2
H  0.141  0.000  0.669 x4
H  0.500  0.000  0.597 x2
Pb  0.000  0.000  0.218 x2
Pb  0.308  0.000  0.095 x4
Pb  0.500  0.000  0.265 x2

Largest 8 diffraction maxima, low angle first, 2θ = 10–80°:
hkl 0 1 1, 26.74°, rel. 77; hkl 2 0 4, 29.09°, rel. 96; hkl 3 0 2, 31.45°, rel. 49; hkl 1 0 6, 33.74°, rel. 33; hkl 2 1 3, 36.76°, rel. 100; hkl 1 1 5, 39.11°, rel. 41; hkl 5 1 5, 64.54°, rel. 25; hkl 3 1 9, 65.10°, rel. 40

=====

# 5
# HgHPb2
Calculated powder XRD pattern, copper Kα. Input: DFT lattice parameters and positions (PBE).

Lattice parameters (Å, degrees): 3.457 6.030 9.606 92.55 91.29 90.05
Space group P-1 (No. 2)
Symmetry-distinct sites (fractional):
Hg  0.226  0.228  0.046 x2
H  0.405  0.321  0.874 x2
Pb  0.034  0.166  0.342 x2
Pb  0.470  0.331  0.661 x2

Largest 8 diffraction maxima, low angle first, 2θ = 10–80°:
hkl 0 0 3, 27.90°, rel. 100; hkl 0 2 0, 29.66°, rel. 49; hkl 1 -1 0, 29.78°, rel. 68; hkl 1 -1 1, 31.23°, rel. 37; hkl 0 2 1, 31.53°, rel. 43; hkl 1 1 1, 31.66°, rel. 91; hkl 1 1 -2, 34.64°, rel. 58; hkl 2 0 1, 54.16°, rel. 33

=====

# 6
# Hg4HPb
Calculated powder XRD pattern, copper Kα. Input: DFT lattice parameters and positions (PBE).

Lattice parameters (Å, degrees): 3.290 6.210 7.534 81.91 89.37 75.80
Space group P1 (No. 1)
Symmetry-distinct sites (fractional):
Hg  0.000  0.000  0.000 x1
Hg  0.108  0.229  0.514 x1
Hg  0.338  0.407  0.141 x1
Hg  0.568  0.619  0.772 x1
H  0.047  0.127  0.764 x1
Pb  0.704  0.793  0.363 x1

Largest 8 diffraction maxima, low angle first, 2θ = 10–80°:
hkl 0 1 -2, 30.03°, rel. 89; hkl 1 1 1, 30.21°, rel. 91; hkl 0 2 1, 30.69°, rel. 100; hkl 1 -1 0, 35.04°, rel. 67; hkl 1 0 -2, 36.63°, rel. 60; hkl 0 1 3, 37.16°, rel. 47; hkl 1 2 -1, 39.05°, rel. 49; hkl 0 3 -1, 49.12°, rel. 27